Entry 1:
Structure and calculated powder diffraction line list of Ga16Rh3 (DFT lattice parameters and positions (PBE); Cu Kα, 1.54184 Å).
No peak broadening, texture or thermal motion is included.

Principal peaks in the range 10 to 90 degrees two-theta, in order of rising 2θ:
2θ = 31.95°, 2.801 Å, rel. 39.2; 2θ = 32.85°, 2.726 Å, rel. 39.8; 2θ = 39.13°, 2.302 Å, rel. 36.5; 2θ = 40.62°, 2.221 Å, rel. 40.9; 2θ = 42.63°, 2.121 Å, rel. 35.9; 2θ = 42.78°, 2.114 Å, rel. 73.2; 2θ = 44.08°, 2.054 Å, rel. 100.0; 2θ = 44.85°, 2.021 Å, rel. 60.0; 2θ = 68.13°, 1.376 Å, rel. 28.3; 2θ = 73.42°, 1.290 Å, rel. 35.8

Structure:
```
data_Ga16Rh3
_space_group_name_H-M_alt 'P 1'
_space_group_IT_number 1
_space_group_name_Hall 'P 1'
_cell_length_a 15.804
_cell_length_b 15.804
_cell_length_c 6.505
_cell_angle_alpha 90.00
_cell_angle_beta 90.00
_cell_angle_gamma 156.20
loop_
_atom_site_label
_atom_site_fract_x
_atom_site_fract_y
_atom_site_fract_z
Ga1 0.009 0.991 0.750
Ga2 0.017 0.273 0.605
Ga3 0.068 0.635 0.399
Ga4 0.099 0.221 0.910
Ga5 0.135 0.568 0.101
Ga6 0.170 0.830 0.750
Ga7 0.221 0.099 0.410
Ga8 0.227 0.483 0.105
Ga9 0.273 0.017 0.105
Ga10 0.279 0.401 0.410
Ga11 0.330 0.670 0.750
Ga12 0.365 0.932 0.101
Ga13 0.401 0.279 0.910
Ga14 0.432 0.865 0.399
Ga15 0.483 0.227 0.605
Ga16 0.491 0.509 0.750
Ga17 0.509 0.491 0.250
Ga18 0.517 0.773 0.395
Ga19 0.568 0.135 0.601
Ga20 0.599 0.721 0.090
Ga21 0.635 0.068 0.899
Ga22 0.670 0.330 0.250
Ga23 0.721 0.599 0.590
Ga24 0.727 0.983 0.895
Ga25 0.773 0.517 0.895
Ga26 0.779 0.901 0.590
Ga27 0.830 0.170 0.250
Ga28 0.865 0.432 0.899
Ga29 0.901 0.779 0.090
Ga30 0.932 0.365 0.601
Ga31 0.983 0.727 0.395
Ga32 0.991 0.009 0.250
Rh1 0.090 0.910 0.750
Rh2 0.250 0.750 0.750
Rh3 0.410 0.590 0.750
Rh4 0.590 0.410 0.250
Rh5 0.750 0.250 0.250
Rh6 0.910 0.090 0.250
```

=====

Entry 2:
Structure and calculated powder diffraction line list of Sr4Ca3Ag2 (DFT lattice parameters and positions (PBE); Cu Kα, 1.54184 Å).
No peak broadening, texture or thermal motion is included.

Principal peaks in the range 10 to 90 degrees two-theta, in order of rising 2θ:
2θ = 25.70°, 3.467 Å, rel. 31.0; 2θ = 27.57°, 3.236 Å, rel. 25.9; 2θ = 27.92°, 3.195 Å, rel. 29.6; 2θ = 28.37°, 3.146 Å, rel. 36.9; 2θ = 28.96°, 3.083 Å, rel. 38.6; 2θ = 30.58°, 2.923 Å, rel. 100.0; 2θ = 31.53°, 2.837 Å, rel. 36.6; 2θ = 33.41°, 2.682 Å, rel. 44.4; 2θ = 42.27°, 2.138 Å, rel. 31.1; 2θ = 50.47°, 1.808 Å, rel. 26.2

Structure:
```
data_Sr4Ca3Ag2
_space_group_name_H-M_alt 'P 1'
_space_group_IT_number 1
_space_group_name_Hall 'P 1'
_cell_length_a 9.729
_cell_length_b 9.729
_cell_length_c 10.045
_cell_angle_alpha 114.27
_cell_angle_beta 114.27
_cell_angle_gamma 25.39
loop_
_atom_site_label
_atom_site_fract_x
_atom_site_fract_y
_atom_site_fract_z
Sr1 0.124 0.124 0.381
Sr2 0.267 0.267 0.845
Sr3 0.733 0.733 0.155
Sr4 0.876 0.876 0.619
Ca1 0.427 0.427 0.306
Ca2 0.500 0.500 0.000
Ca3 0.573 0.573 0.694
Ag1 0.106 0.106 0.937
Ag2 0.894 0.894 0.063
```

=====

Entry 3:
Structure and calculated powder diffraction line list of Nd5Dy4Ag (DFT lattice parameters and positions (PBE); Cu Kα, 1.54184 Å).
No peak broadening, texture or thermal motion is included.

Principal peaks in the range 10 to 90 degrees two-theta, in order of rising 2θ:
2θ = 30.72°, 2.910 Å, rel. 100.0; 2θ = 34.87°, 2.573 Å, rel. 39.7; 2θ = 37.08°, 2.424 Å, rel. 10.9; 2θ = 50.15°, 1.819 Å, rel. 14.2; 2θ = 51.82°, 1.764 Å, rel. 16.7; 2θ = 59.08°, 1.564 Å, rel. 7.4; 2θ = 59.97°, 1.543 Å, rel. 29.7; 2θ = 63.99°, 1.455 Å, rel. 8.8; 2θ = 81.87°, 1.177 Å, rel. 6.1; 2θ = 84.14°, 1.151 Å, rel. 6.7

Structure:
```
data_Nd5Dy4Ag
_space_group_name_H-M_alt 'P 1'
_space_group_IT_number 1
_space_group_name_Hall 'P 1'
_cell_length_a 3.638
_cell_length_b 3.638
_cell_length_c 24.243
_cell_angle_alpha 90.00
_cell_angle_beta 90.00
_cell_angle_gamma 90.00
loop_
_atom_site_label
_atom_site_fract_x
_atom_site_fract_y
_atom_site_fract_z
Nd1 0.000 0.000 0.000
Nd2 0.000 0.000 0.208
Nd3 0.000 0.000 0.417
Nd4 0.000 0.000 0.583
Nd5 0.000 0.000 0.792
Dy1 0.500 0.500 0.104
Dy2 0.500 0.500 0.312
Dy3 0.500 0.500 0.688
Dy4 0.500 0.500 0.896
Ag1 0.500 0.500 0.500
```

=====

Entry 4:
Structure and calculated powder diffraction line list of LiSn2TeSe3 (DFT lattice parameters and positions (PBE); Cu Kα, 1.54184 Å).
No peak broadening, texture or thermal motion is included.

Principal peaks in the range 10 to 90 degrees two-theta, in order of rising 2θ:
2θ = 13.23°, 6.693 Å, rel. 43.7; 2θ = 25.48°, 3.496 Å, rel. 28.5; 2θ = 30.85°, 2.898 Å, rel. 100.0; 2θ = 40.43°, 2.231 Å, rel. 13.7; 2θ = 44.20°, 2.049 Å, rel. 74.9; 2θ = 46.33°, 1.960 Å, rel. 14.3; 2θ = 54.84°, 1.674 Å, rel. 19.2; 2θ = 64.28°, 1.449 Å, rel. 11.8; 2θ = 73.00°, 1.296 Å, rel. 31.8; 2θ = 81.29°, 1.184 Å, rel. 18.5

Structure:
```
data_LiSn2TeSe3
_space_group_name_H-M_alt 'P 1'
_space_group_IT_number 1
_space_group_name_Hall 'P 1'
_cell_length_a 8.192
_cell_length_b 8.192
_cell_length_c 8.192
_cell_angle_alpha 60.09
_cell_angle_beta 60.09
_cell_angle_gamma 60.09
loop_
_atom_site_label
_atom_site_fract_x
_atom_site_fract_y
_atom_site_fract_z
Li1 0.103 0.103 0.103
Li2 0.897 0.897 0.897
Sn1 0.000 0.500 0.500
Sn2 0.500 0.000 0.500
Sn3 0.500 0.500 0.000
Sn4 0.500 0.500 0.500
Te1 0.244 0.244 0.244
Te2 0.756 0.756 0.756
Se1 0.254 0.254 0.728
Se2 0.254 0.728 0.254
Se3 0.272 0.746 0.746
Se4 0.728 0.254 0.254
Se5 0.746 0.272 0.746
Se6 0.746 0.746 0.272
```

=====

Entry 5:
Structure and calculated powder diffraction line list of NaPu2H12Rh3 (DFT lattice parameters and positions (PBE); Cu Kα, 1.54184 Å).
No peak broadening, texture or thermal motion is included.

Principal peaks in the range 10 to 90 degrees two-theta, in order of rising 2θ:
2θ = 17.36°, 5.108 Å, rel. 54.0; 2θ = 28.31°, 3.153 Å, rel. 47.1; 2θ = 29.66°, 3.012 Å, rel. 73.3; 2θ = 33.40°, 2.683 Å, rel. 94.2; 2θ = 33.99°, 2.637 Å, rel. 46.5; 2θ = 35.14°, 2.554 Å, rel. 100.0; 2θ = 47.52°, 1.913 Å, rel. 22.6; 2θ = 50.97°, 1.792 Å, rel. 33.6; 2θ = 54.65°, 1.679 Å, rel. 36.8; 2θ = 58.56°, 1.576 Å, rel. 29.1

Structure:
```
data_NaPu2H12Rh3
_space_group_name_H-M_alt 'P 1'
_space_group_IT_number 1
_space_group_name_Hall 'P 1'
_cell_length_a 6.036
_cell_length_b 6.036
_cell_length_c 6.036
_cell_angle_alpha 62.98
_cell_angle_beta 62.98
_cell_angle_gamma 62.98
loop_
_atom_site_label
_atom_site_fract_x
_atom_site_fract_y
_atom_site_fract_z
Na1 0.000 0.000 0.000
Pu1 0.393 0.393 0.393
Pu2 0.607 0.607 0.607
H1 0.137 0.137 0.571
H2 0.137 0.571 0.137
H3 0.145 0.700 0.700
H4 0.300 0.300 0.855
H5 0.300 0.855 0.300
H6 0.429 0.863 0.863
H7 0.571 0.137 0.137
H8 0.700 0.145 0.700
H9 0.700 0.700 0.145
H10 0.855 0.300 0.300
H11 0.863 0.429 0.863
H12 0.863 0.863 0.429
Rh1 0.000 0.000 0.500
Rh2 0.000 0.500 0.000
Rh3 0.500 0.000 0.000
```